Structure and computed powder XRD pattern of PmDyErAg (a DFT-relaxed cell (GGA-PBE, Alexandria); Cu Kα X-rays).
No peak broadening, texture or thermal motion is included.

The 6 most intense peaks (2θ = 10–80°), low angle first:
h k l  2θ (°)  intensity
1 0 2  32.21  100
1 1 0  35.19  46
1 1 3  47.42  8
2 0 0  50.62  16
1 1 4  55.44  13
2 1 2  61.27  31

Structural model:
Unit cell a=3.6066 b=3.6066 c=8.7226 alpha=90.00 beta=90.00 gamma=90.00
Space group P4mm (No. 99)
Inequivalent atoms, fractional coordinates:
1 Pm 0.0000 0.0000 0.0000 [1 per cell]
2 Dy 0.5000 0.5000 0.7075 [1 per cell]
3 Er 0.5000 0.5000 0.2905 [1 per cell]
4 Ag 0.0000 0.0000 0.4946 [1 per cell]